No. 1
Diffraction record for KLaNbN3. The X-ray powder pattern is simulated, not measured: it uses a PBE-relaxed structure and Cu Kα.
Neutral-atom scattering factors, no anomalous dispersion.

Structure:
Cell: 7.2251 7.2251 7.7222 Å, 103.99 103.99 32.34°
Atoms (fractional coordinates):
K1 0.1687 0.1687 0.0729
K2 0.8313 0.8313 0.9271
La1 0.1467 0.1467 0.5682
La2 0.8533 0.8533 0.4318
Nb1 0.4919 0.4919 0.7773
Nb2 0.5081 0.5081 0.2227
N1 0.0100 0.0100 0.2819
N2 0.3434 0.3434 0.6340
N3 0.3686 0.3686 0.2321
N4 0.6314 0.6314 0.7679
N5 0.6566 0.6566 0.3660
N6 0.9900 0.9900 0.7181

Top 8 peaks for 10 to 80 degrees two-theta, low angle first:
| 2θ/deg | intensity |
| --- | --- |
| 11.84 | 45 |
| 25.22 | 26 |
| 29.85 | 80 |
| 30.16 | 50 |
| 31.00 | 42 |
| 32.13 | 100 |
| 40.31 | 30 |
| 45.07 | 28 |

=====

No. 2
Diffraction record for KNaLa2. The X-ray powder pattern is simulated, not measured: it uses a PBE-relaxed structure and Cu Kα.
Neutral-atom scattering factors, no anomalous dispersion.

Structure:
Cell: 7.7446 7.7446 7.7446 Å, 100.58 100.58 129.25°
Atoms (fractional coordinates):
K1 0.0000 0.0000 0.0000
K2 0.7500 0.2500 0.5000
Na1 0.2500 0.7500 0.5000
Na2 0.5000 0.5000 0.0000
La1 0.1348 0.1250 0.5098
La2 0.3750 0.8652 0.9902
La3 0.6152 0.6250 0.4902
La4 0.8750 0.3848 0.0098

Top 8 peaks for 10 to 80 degrees two-theta, low angle first:
| 2θ/deg | intensity |
| --- | --- |
| 17.93 | 85 |
| 25.46 | 100 |
| 29.79 | 92 |
| 36.31 | 38 |
| 39.58 | 84 |
| 47.65 | 24 |
| 54.79 | 31 |
| 61.35 | 22 |

=====

No. 3
Diffraction record for KNaLaNbO5. The X-ray powder pattern is simulated, not measured: it uses a PBE-relaxed structure and Cu Kα.
Neutral-atom scattering factors, no anomalous dispersion.

Structure:
Cell: 5.8426 5.8426 8.4164 Å, 90.00 90.00 90.00°
Atoms (fractional coordinates):
K1 0.2500 0.7500 0.0000
K2 0.7500 0.2500 0.0000
Na1 0.2500 0.2500 0.2412
Na2 0.7500 0.7500 0.7588
La1 0.2500 0.7500 0.5000
La2 0.7500 0.2500 0.5000
Nb1 0.2500 0.2500 0.7448
Nb2 0.7500 0.7500 0.2552
O1 0.0207 0.0207 0.6730
O2 0.0207 0.4793 0.6730
O3 0.2500 0.2500 0.9667
O4 0.4793 0.0207 0.6730
O5 0.4793 0.4793 0.6730
O6 0.5207 0.5207 0.3270
O7 0.5207 0.9793 0.3270
O8 0.7500 0.7500 0.0333
O9 0.9793 0.5207 0.3270
O10 0.9793 0.9793 0.3270

Top 8 peaks for 10 to 80 degrees two-theta, low angle first:
| 2θ/deg | intensity |
| --- | --- |
| 10.51 | 45 |
| 18.49 | 30 |
| 24.00 | 27 |
| 30.32 | 100 |
| 30.60 | 38 |
| 43.83 | 31 |
| 53.68 | 25 |
| 54.22 | 37 |

=====

No. 4
Diffraction record for KRb2NaLa. The X-ray powder pattern is simulated, not measured: it uses a PBE-relaxed structure and Cu Kα.
Neutral-atom scattering factors, no anomalous dispersion.

Structure:
Cell: 7.3976 7.3976 7.3120 Å, 90.00 90.00 90.00°
Atoms (fractional coordinates):
K1 0.0000 0.0000 0.0000
Rb1 0.0000 0.5000 0.5000
Rb2 0.5000 0.0000 0.5000
Na1 0.5000 0.5000 0.0000
La1 0.0000 0.0000 0.5000

Top 8 peaks for 10 to 80 degrees two-theta, low angle first:
| 2θ/deg | intensity |
| --- | --- |
| 11.96 | 83 |
| 12.10 | 99 |
| 17.05 | 45 |
| 24.06 | 100 |
| 24.35 | 49 |
| 27.00 | 87 |
| 34.49 | 78 |
| 42.50 | 43 |

=====

No. 5
Diffraction record for K4LaNp3O12. The X-ray powder pattern is simulated, not measured: it uses a PBE-relaxed structure and Cu Kα.
Neutral-atom scattering factors, no anomalous dispersion.

Structure:
Cell: 7.5435 7.5435 7.5435 Å, 109.47 109.47 109.47°
Atoms (fractional coordinates):
K1 0.0000 0.0000 0.5000
K2 0.0000 0.5000 0.0000
K3 0.5000 0.0000 0.0000
K4 0.5000 0.5000 0.5000
La1 0.0000 0.0000 0.0000
Np1 0.0000 0.5000 0.5000
Np2 0.5000 0.0000 0.5000
Np3 0.5000 0.5000 0.0000
O1 0.0000 0.2718 0.2718
O2 0.0000 0.7282 0.7282
O3 0.2500 0.5000 0.7500
O4 0.2500 0.7500 0.5000
O5 0.2718 0.0000 0.2718
O6 0.2718 0.2718 0.0000
O7 0.5000 0.2500 0.7500
O8 0.5000 0.7500 0.2500
O9 0.7282 0.0000 0.7282
O10 0.7282 0.7282 0.0000
O11 0.7500 0.2500 0.5000
O12 0.7500 0.5000 0.2500

Top 8 peaks for 10 to 80 degrees two-theta, low angle first:
| 2θ/deg | intensity |
| --- | --- |
| 20.39 | 73 |
| 28.99 | 100 |
| 41.47 | 31 |
| 46.63 | 35 |
| 51.39 | 41 |
| 60.09 | 19 |
| 64.15 | 17 |
| 68.08 | 19 |

=====

No. 6
Diffraction record for K4LaO2. The X-ray powder pattern is simulated, not measured: it uses a PBE-relaxed structure and Cu Kα.
Neutral-atom scattering factors, no anomalous dispersion.

Structure:
Cell: 8.7049 8.7049 8.7049 Å, 136.03 136.03 63.93°
Atoms (fractional coordinates):
K1 0.0000 0.5000 0.5000
K2 0.2094 0.2094 0.0000
K3 0.5000 0.0000 0.5000
K4 0.7906 0.7906 0.0000
La1 0.5000 0.5000 0.0000
O1 0.0483 0.0483 0.0000
O2 0.9517 0.9517 0.0000

Top 8 peaks for 10 to 80 degrees two-theta, low angle first:
| 2θ/deg | intensity |
| --- | --- |
| 11.98 | 95 |
| 14.86 | 46 |
| 19.26 | 62 |
| 22.63 | 84 |
| 24.10 | 46 |
| 27.37 | 100 |
| 35.80 | 51 |
| 36.79 | 58 |

=====

No. 7
Diffraction record for K14La2O9. The X-ray powder pattern is simulated, not measured: it uses a PBE-relaxed structure and Cu Kα.
Neutral-atom scattering factors, no anomalous dispersion.

Structure:
Cell: 7.9610 7.9610 11.1588 Å, 90.00 90.00 120.00°
Atoms (fractional coordinates):
K1 0.0000 0.0000 0.2464
K2 0.0000 0.0000 0.7536
K3 0.0579 0.6893 0.9110
K4 0.1032 0.3784 0.5902
K5 0.2752 0.8968 0.5902
K6 0.3107 0.3687 0.9110
K7 0.3687 0.0579 0.0890
K8 0.3784 0.2752 0.4098
K9 0.6216 0.7248 0.5902
K10 0.6313 0.9421 0.9110
K11 0.6893 0.6313 0.0890
K12 0.7248 0.1032 0.4098
K13 0.8968 0.6216 0.4098
K14 0.9421 0.3107 0.0890
La1 0.3333 0.6667 0.2702
La2 0.6667 0.3333 0.7298
O1 0.0000 0.0000 0.0000
O2 0.1039 0.3647 0.3425
O3 0.2607 0.8961 0.3425
O4 0.3333 0.6667 0.0625
O5 0.3647 0.2607 0.6575
O6 0.6353 0.7393 0.3425
O7 0.6667 0.3333 0.9375
O8 0.7393 0.1039 0.6575
O9 0.8961 0.6353 0.6575

Top 8 peaks for 10 to 80 degrees two-theta, low angle first:
| 2θ/deg | intensity |
| --- | --- |
| 15.11 | 86 |
| 27.07 | 51 |
| 27.24 | 47 |
| 27.53 | 100 |
| 35.37 | 62 |
| 39.20 | 40 |
| 39.44 | 58 |
| 48.58 | 25 |

=====

No. 8
Diffraction record for K2La4O7. The X-ray powder pattern is simulated, not measured: it uses a PBE-relaxed structure and Cu Kα.
Neutral-atom scattering factors, no anomalous dispersion.

Structure:
Cell: 6.3898 6.3898 7.7670 Å, 90.00 90.00 120.00°
Atoms (fractional coordinates):
K1 0.3333 0.6667 0.0000
K2 0.6667 0.3333 0.0000
La1 0.0000 0.0000 0.2771
La2 0.0000 0.0000 0.7229
La3 0.3333 0.6667 0.5000
La4 0.6667 0.3333 0.5000
O1 0.0000 0.0000 0.0000
O2 0.0000 0.3591 0.6715
O3 0.0000 0.6409 0.3285
O4 0.3591 0.0000 0.6715
O5 0.3591 0.3591 0.3285
O6 0.6409 0.0000 0.3285
O7 0.6409 0.6409 0.6715

Top 8 peaks for 10 to 80 degrees two-theta, low angle first:
| 2θ/deg | intensity |
| --- | --- |
| 11.39 | 53 |
| 27.93 | 100 |
| 28.07 | 95 |
| 30.25 | 20 |
| 40.01 | 39 |
| 49.46 | 71 |
| 55.37 | 29 |
| 79.38 | 21 |

=====

No. 9
Diffraction record for KLaOsO6. The X-ray powder pattern is simulated, not measured: it uses a PBE-relaxed structure and Cu Kα.
Neutral-atom scattering factors, no anomalous dispersion.

Structure:
Cell: 5.8236 5.8236 5.6604 Å, 90.00 90.00 120.00°
Atoms (fractional coordinates):
K1 0.0000 0.0000 0.0000
La1 0.3333 0.6667 0.5000
Os1 0.6667 0.3333 0.5000
O1 0.4080 0.0624 0.6895
O2 0.4080 0.3456 0.3105
O3 0.6544 0.0624 0.3105
O4 0.6544 0.5920 0.6895
O5 0.9376 0.3456 0.6895
O6 0.9376 0.5920 0.3105

Top 8 peaks for 10 to 80 degrees two-theta, low angle first:
| 2θ/deg | intensity |
| --- | --- |
| 15.66 | 96 |
| 17.59 | 49 |
| 23.63 | 100 |
| 30.70 | 58 |
| 34.64 | 61 |
| 44.65 | 60 |
| 50.52 | 23 |
| 58.30 | 26 |

=====

No. 10
Diffraction record for K4LaOs3O12. The X-ray powder pattern is simulated, not measured: it uses a PBE-relaxed structure and Cu Kα.
Neutral-atom scattering factors, no anomalous dispersion.

Structure:
Cell: 7.1238 7.1238 7.1238 Å, 109.47 109.47 109.47°
Atoms (fractional coordinates):
K1 0.0000 0.0000 0.5000
K2 0.0000 0.5000 0.0000
K3 0.5000 0.0000 0.0000
K4 0.5000 0.5000 0.5000
La1 0.0000 0.0000 0.0000
Os1 0.0000 0.5000 0.5000
Os2 0.5000 0.0000 0.5000
Os3 0.5000 0.5000 0.0000
O1 0.0000 0.2754 0.2754
O2 0.0000 0.7246 0.7246
O3 0.2500 0.5000 0.7500
O4 0.2500 0.7500 0.5000
O5 0.2754 0.0000 0.2754
O6 0.2754 0.2754 0.0000
O7 0.5000 0.2500 0.7500
O8 0.5000 0.7500 0.2500
O9 0.7246 0.0000 0.7246
O10 0.7246 0.7246 0.0000
O11 0.7500 0.2500 0.5000
O12 0.7500 0.5000 0.2500

Top 8 peaks for 10 to 80 degrees two-theta, low angle first:
| 2θ/deg | intensity |
| --- | --- |
| 21.61 | 68 |
| 30.74 | 100 |
| 44.03 | 32 |
| 49.56 | 30 |
| 54.66 | 39 |
| 64.03 | 19 |
| 68.43 | 15 |
| 72.70 | 18 |

=====

No. 11
Diffraction record for K3La3PtO8. The X-ray powder pattern is simulated, not measured: it uses a PBE-relaxed structure and Cu Kα.
Neutral-atom scattering factors, no anomalous dispersion.

Structure:
Cell: 7.5181 7.5181 7.5181 Å, 57.08 57.08 57.08°
Atoms (fractional coordinates):
K1 0.0000 0.5000 0.5000
K2 0.5000 0.0000 0.5000
K3 0.5000 0.5000 0.0000
La1 0.0000 0.0000 0.5000
La2 0.0000 0.5000 0.0000
La3 0.5000 0.0000 0.0000
Pt1 0.5000 0.5000 0.5000
O1 0.2300 0.2300 0.2300
O2 0.2638 0.7062 0.7062
O3 0.2938 0.2938 0.7362
O4 0.2938 0.7362 0.2938
O5 0.7062 0.2638 0.7062
O6 0.7062 0.7062 0.2638
O7 0.7362 0.2938 0.2938
O8 0.7700 0.7700 0.7700

Top 8 peaks for 10 to 80 degrees two-theta, low angle first:
| 2θ/deg | intensity |
| --- | --- |
| 14.12 | 100 |
| 28.47 | 27 |
| 29.09 | 40 |
| 30.26 | 61 |
| 34.57 | 83 |
| 48.53 | 27 |
| 50.84 | 27 |
| 59.30 | 22 |

=====

No. 12
Diffraction record for K4La3PuO8. The X-ray powder pattern is simulated, not measured: it uses a PBE-relaxed structure and Cu Kα.
Neutral-atom scattering factors, no anomalous dispersion.

Structure:
Cell: 7.5998 7.5998 7.5998 Å, 58.19 58.19 58.19°
Atoms (fractional coordinates):
K1 0.0000 0.0000 0.0000
K2 0.0000 0.5000 0.5000
K3 0.5000 0.0000 0.5000
K4 0.5000 0.5000 0.0000
La1 0.0000 0.0000 0.5000
La2 0.0000 0.5000 0.0000
La3 0.5000 0.0000 0.0000
Pu1 0.5000 0.5000 0.5000
O1 0.2303 0.2303 0.2303
O2 0.2387 0.7256 0.7256
O3 0.2744 0.2744 0.7613
O4 0.2744 0.7613 0.2744
O5 0.7256 0.2387 0.7256
O6 0.7256 0.7256 0.2387
O7 0.7613 0.2744 0.2744
O8 0.7697 0.7697 0.7697

Top 8 peaks for 10 to 80 degrees two-theta, low angle first:
| 2θ/deg | intensity |
| --- | --- |
| 14.08 | 88 |
| 28.28 | 39 |
| 28.38 | 31 |
| 29.47 | 76 |
| 33.85 | 100 |
| 47.92 | 33 |
| 49.32 | 34 |
| 57.87 | 32 |

=====

Copy entry 2 word for word.
Diffraction record for KNaLa2. The X-ray powder pattern is simulated, not measured: it uses a PBE-relaxed structure and Cu Kα.
Neutral-atom scattering factors, no anomalous dispersion.

Structure:
Cell: 7.7446 7.7446 7.7446 Å, 100.58 100.58 129.25°
Atoms (fractional coordinates):
K1 0.0000 0.0000 0.0000
K2 0.7500 0.2500 0.5000
Na1 0.2500 0.7500 0.5000
Na2 0.5000 0.5000 0.0000
La1 0.1348 0.1250 0.5098
La2 0.3750 0.8652 0.9902
La3 0.6152 0.6250 0.4902
La4 0.8750 0.3848 0.0098

Top 8 peaks for 10 to 80 degrees two-theta, low angle first:
| 2θ/deg | intensity |
| --- | --- |
| 17.93 | 85 |
| 25.46 | 100 |
| 29.79 | 92 |
| 36.31 | 38 |
| 39.58 | 84 |
| 47.65 | 24 |
| 54.79 | 31 |
| 61.35 | 22 |